No. 1
The following is a theoretical PXRD pattern of Al6ZnAg2. It was derived from DFT lattice parameters and positions (GGA-PBE), using Cu Kα, 1.54184 Å.
Lines closer than 0.1° are merged.

Crystal structure
```
data_Al6ZnAg2
_symmetry_space_group_name_H-M 'C 1 2/c 1'
_symmetry_Int_Tables_number 15
_cell_length_a 9.7852
_cell_length_b 7.9115
_cell_length_c 8.9517
_cell_angle_alpha 90.00
_cell_angle_beta 108.12
_cell_angle_gamma 90.00
loop_
_symmetry_equiv_pos_as_xyz
'x,y,z'
'-x,-y,-z'
'-x,y,-z+1/2'
'x,-y,z+1/2'
'x+1/2,y+1/2,z'
'-x+1/2,-y+1/2,-z'
'-x+1/2,y+1/2,-z+1/2'
'x+1/2,-y+1/2,z+1/2'
loop_
_atom_site_label
_atom_site_type_symbol
_atom_site_fract_x
_atom_site_fract_y
_atom_site_fract_z
_atom_site_occupancy
Al1 Al 0.0827 0.0127 0.3954 1
Al2 Al 0.1417 0.2973 0.0634 1
Al3 Al 0.1426 0.3350 0.5330 1
Zn1 Zn 0.0000 0.3081 0.7500 1
Ag1 Ag 0.2487 0.4966 0.3099 1
```

Most intense lines, 5 to 70 degrees two-theta, most intense first:
2θ 29.65, I = 100, hkl 2 2 0; 2θ 40.00, I = 75, hkl 2 2 2; 2θ 42.11, I = 72, hkl 1 1 -4; 2θ 45.90, I = 67, hkl 3 3 -2; 2θ 37.89, I = 62, hkl 4 0 -2; 2θ 19.09, I = 54, hkl 2 0 0; 2θ 23.03, I = 48, hkl 1 1 -2; 2θ 32.04, I = 46, hkl 3 1 -2; 2θ 42.65, I = 43, hkl 3 1 2; 2θ 22.48, I = 39, hkl 0 2 0; 2θ 30.87, I = 34, hkl 0 2 2; 2θ 20.88, I = 33, hkl 0 0 2

No. 2
The following is a theoretical PXRD pattern of Nd5ScGa4. It was derived from DFT lattice parameters and positions (GGA-PBE), using Cu Kα, 1.54184 Å.
Lines closer than 0.1° are merged.

Crystal structure
```
data_Nd5ScGa4
_symmetry_space_group_name_H-M 'C 1 2/m 1'
_symmetry_Int_Tables_number 12
_cell_length_a 16.3661
_cell_length_b 4.1896
_cell_length_c 8.2397
_cell_angle_alpha 90.00
_cell_angle_beta 100.46
_cell_angle_gamma 90.00
loop_
_symmetry_equiv_pos_as_xyz
'x,y,z'
'-x,-y,-z'
'-x,y,-z'
'x,-y,z'
'x+1/2,y+1/2,z'
'-x+1/2,-y+1/2,-z'
'-x+1/2,y+1/2,-z'
'x+1/2,-y+1/2,z'
loop_
_atom_site_label
_atom_site_type_symbol
_atom_site_fract_x
_atom_site_fract_y
_atom_site_fract_z
_atom_site_occupancy
Nd1 Nd 0.0000 0.0000 0.0000 1
Nd2 Nd 0.1692 0.5000 0.6199 1
Nd3 Nd 0.1754 0.5000 0.0792 1
Sc1 Sc 0.0000 0.0000 0.5000 1
Ga1 Ga 0.0238 0.5000 0.2769 1
Ga2 Ga 0.1371 0.0000 0.3346 1
```

Most intense lines, 5 to 70 degrees two-theta, most intense first:
2θ 31.93, I = 100, hkl 1 1 2; 2θ 27.00, I = 68, hkl 3 1 0; 2θ 33.40, I = 63, hkl 6 0 0; 2θ 38.90, I = 58, hkl 5 1 -2; 2θ 33.03, I = 49, hkl 3 1 -2; 2θ 43.19, I = 42, hkl 0 2 0; 2θ 36.99, I = 34, hkl 3 1 2; 2θ 44.07, I = 30, hkl 2 0 -4; 2θ 55.67, I = 29, hkl 6 2 0; 2θ 63.41, I = 28, hkl 2 2 -4; 2θ 30.47, I = 25, hkl 1 1 -2; 2θ 34.14, I = 23, hkl 4 0 2

No. 3
The following is a theoretical PXRD pattern of Y6BiS4. It was derived from DFT lattice parameters and positions (GGA-PBE), using Cu Kα, 1.54184 Å.
Lines closer than 0.1° are merged.

Crystal structure
```
data_Y6BiS4
_symmetry_space_group_name_H-M 'C m c m'
_symmetry_Int_Tables_number 63
_symmetry_space_group_name_Hall '-C 2c 2'
_cell_length_a 4.0276
_cell_length_b 12.9335
_cell_length_c 20.1597
_cell_angle_alpha 90.00
_cell_angle_beta 90.00
_cell_angle_gamma 90.00
loop_
_atom_site_label
_atom_site_type_symbol
_atom_site_fract_x
_atom_site_fract_y
_atom_site_fract_z
_atom_site_occupancy
Y1 Y 0.0000 0.0000 0.0000 1
Y2 Y 0.0000 0.1516 0.2500 1
Y3 Y 0.0000 0.2716 0.5857 1
Y4 Y 0.0000 0.4603 0.1570 1
Bi1 Bi 0.0000 0.1637 0.7500 1
S1 S 0.0000 0.0936 0.1215 1
S2 S 0.0000 0.3613 0.0383 1
```

Most intense lines, 5 to 70 degrees two-theta, most intense first:
2θ 31.67, I = 100, hkl 1 3 2; 2θ 29.97, I = 61, hkl 0 2 6; 2θ 29.21, I = 42, hkl 1 1 4; 2θ 30.70, I = 33, hkl 1 3 1; 2θ 45.01, I = 29, hkl 2 0 0; 2θ 8.77, I = 23, hkl 0 0 2; 2θ 42.91, I = 22, hkl 1 1 8; 2θ 55.03, I = 21, hkl 2 2 6; 2θ 33.23, I = 20, hkl 1 3 3; 2θ 55.23, I = 19, hkl 1 3 10; 2θ 45.39, I = 17, hkl 1 5 4; 2θ 45.78, I = 17, hkl 0 6 4